Theoretical powder X-ray diffraction pattern of Nd8GaGe3Te4 for Cu Ka, from a structure optimized by DFT (PBE).
Kinematic intensities with the Lorentz-polarization factor, no thermal factor.

Cell lengths 8.9342, 8.9342, 8.9342 Å; angles 58.54, 58.54, 58.54 degrees
Positions (direct):
Nd  0.2399  0.7451  0.7451
Nd  0.2410  0.2410  0.2410
Nd  0.2549  0.2549  0.7601
Nd  0.2549  0.7601  0.2549
Nd  0.7451  0.2399  0.7451
Nd  0.7451  0.7451  0.2399
Nd  0.7590  0.7590  0.7590
Nd  0.7601  0.2549  0.2549
Ga  0.5000  0.5000  0.5000
Ge  0.0000  0.0000  0.5000
Ge  0.0000  0.5000  0.0000
Ge  0.5000  0.0000  0.0000
Te  0.0000  0.0000  0.0000
Te  0.0000  0.5000  0.5000
Te  0.5000  0.0000  0.5000
Te  0.5000  0.5000  0.0000

Peak list (12 most intense, 2θ = 15–90°, in order of rising 2θ)
| d (Å) | I_rel |
| --- | --- |
| 3.579 | 5 |
| 3.122 | 100 |
| 2.232 | 37 |
| 2.184 | 38 |
| 1.844 | 6 |
| 1.790 | 20 |
| 1.561 | 12 |
| 1.409 | 15 |
| 1.384 | 17 |
| 1.299 | 5 |
| 1.270 | 12 |
| 1.261 | 6 |

---

Theoretical powder X-ray diffraction pattern of Pm4PrBi5 for Cu Ka, from a structure optimized by DFT (PBE).
Kinematic intensities with the Lorentz-polarization factor, no thermal factor.

Cell lengths 12.1410, 12.1410, 12.1410 Å; angles 158.18, 149.00, 38.23 degrees
Positions (direct):
Pm  0.1001  0.1001  0.0000
Pm  0.2993  0.2993  0.0000
Pm  0.7007  0.7007  0.0000
Pm  0.8999  0.8999  0.0000
Pr  0.5000  0.5000  0.0000
Bi  0.0000  0.5000  0.5000
Bi  0.1998  0.6998  0.5000
Bi  0.3985  0.8985  0.5000
Bi  0.6015  0.1015  0.5000
Bi  0.8002  0.3002  0.5000

Peak list (12 most intense, 2θ = 15–90°, in order of rising 2θ)
| d (Å) | I_rel |
| --- | --- |
| 3.748 | 5 |
| 3.246 | 100 |
| 2.295 | 79 |
| 1.957 | 3 |
| 1.874 | 29 |
| 1.623 | 14 |
| 1.489 | 1 |
| 1.452 | 38 |
| 1.325 | 28 |
| 1.249 | 1 |
| 1.149 | 2 |
| 1.147 | 8 |

---

Theoretical powder X-ray diffraction pattern of Li5Ni2Ge4 for Cu Ka, from a structure optimized by DFT (PBE).
Kinematic intensities with the Lorentz-polarization factor, no thermal factor.

Cell lengths 6.9140, 2.8491, 8.4762 Å; angles 90.00, 92.97, 90.00 degrees
Positions (direct):
Li  0.0000  0.0000  0.0000
Li  0.0340  0.0000  0.3396
Li  0.3661  0.0000  0.8741
Li  0.6339  0.0000  0.1259
Li  0.9660  0.0000  0.6604
Ni  0.4150  0.0000  0.3619
Ni  0.5850  0.0000  0.6381
Ge  0.2842  0.5000  0.1463
Ge  0.2940  0.5000  0.5765
Ge  0.7060  0.5000  0.4235
Ge  0.7158  0.5000  0.8537

Peak list (12 most intense, 2θ = 15–90°, in order of rising 2θ)
| d (Å) | I_rel |
| --- | --- |
| 5.492 | 100 |
| 3.695 | 42 |
| 3.528 | 34 |
| 3.452 | 35 |
| 2.256 | 56 |
| 2.217 | 79 |
| 2.197 | 68 |
| 2.116 | 25 |
| 2.067 | 21 |
| 2.005 | 33 |
| 1.978 | 60 |
| 1.907 | 19 |